This entry pairs a crystal structure of Cs4Rb2ZnCoO5 with its computed powder diffractogram. Radiation: Cu Kα (weighted mean of Kα1 and Kα2). Structure: the PBE+U geometry in OQMD.

Unit cell a=7.3704 b=12.1050 c=7.1475 alpha=90.00 beta=94.45 gamma=90.00
Space group Cm (No. 8)
Symmetry-distinct sites (fractional):
Cs1 0.0000 0.0000 0.0000 (multiplicity 2)
Cs2 0.1505 0.2904 0.8017 (multiplicity 4)
Cs3 0.2882 0.0000 0.5920 (multiplicity 2)
Rb1 0.1537 0.2680 0.2996 (multiplicity 4)
Zn1 0.3511 0.5000 0.4678 (multiplicity 2)
Co1 0.4456 0.0000 0.1067 (multiplicity 2)
O1 0.1844 0.5000 0.2457 (multiplicity 2)
O2 0.3481 0.1356 0.0474 (multiplicity 4)
O3 0.4526 0.3636 0.5623 (multiplicity 4)

Peak list (10 most intense, 10° ≤ 2θ ≤ 90°, by intensity)
| 2θ (°) | I (rel.) | h k l |
| --- | --- | --- |
| 29.08 | 1000 | 0 2 2 |
| 28.42 | 694 | 2 2 0 |
| 27.96 | 442 | 1 1 -2 |
| 36.46 | 431 | 2 0 2 |
| 29.52 | 430 | 0 4 0 |
| 25.18 | 328 | 1 3 0 |
| 52.06 | 314 | 4 2 0 |
| 46.48 | 259 | 1 5 -2 |
| 28.59 | 258 | 1 3 1 |
| 30.33 | 248 | 2 2 -1 |